The following is a theoretical powder diffractogram of Mg6CoCu. It was derived from a DFT-relaxed cell (PBE, Alexandria), using Cu Kα (λ = 1.5418 Å).

Crystal structure
Unit cell a=4.6707 b=6.1722 c=10.2286 alpha=90.00 beta=90.00 gamma=90.00
Space group Amm2 (No. 38)
Inequivalent atoms, fractional coordinates:
Mg (0.0000, 0.0000, 0.0000)
Mg (0.0000, 0.0000, 0.4974)
Mg (0.0000, 0.2448, 0.2629)
Mg (0.5000, 0.2484, 0.5851)
Co (0.5000, 0.0000, 0.3373)
Cu (0.5000, 0.0000, 0.8373)

The 10 most intense peaks (10 to 90 degrees two-theta), in order of falling intensity:
h k l  two_theta  Rel. int.
1 2 2  39.17  100
1 0 4  40.21  44
2 0 0  38.55  34
0 2 2  33.93  29
0 0 2  17.34  24
3 2 2  70.16  16
1 0 0  19.00  16
2 2 6  75.63  16
2 2 2  52.28  16
0 2 6  62.21  15

The following is a theoretical powder diffractogram of Mg6CoCu. It was derived from a DFT-relaxed cell (PBE, Alexandria), using Cu Kα (λ = 1.5418 Å).

Crystal structure
Unit cell a=4.5348 b=6.7797 c=9.5175 alpha=90.00 beta=90.00 gamma=90.00
Space group Amm2 (No. 38)
Inequivalent atoms, fractional coordinates:
Mg (0.0000, 0.0000, 0.0000)
Mg (0.0000, 0.2163, 0.7465)
Mg (0.5000, 0.0000, 0.2653)
Mg (0.5000, 0.2219, 0.5237)
Co (0.5000, 0.0000, 0.7951)
Cu (0.0000, 0.0000, 0.4744)

The 10 most intense peaks (10 to 90 degrees two-theta), in order of falling intensity:
h k l  two_theta  Rel. int.
1 2 2  38.16  100
2 0 0  39.75  26
0 0 4  37.81  20
0 1 1  16.05  16
1 1 1  25.42  15
3 2 2  71.10  14
0 1 3  31.13  13
2 0 4  56.02  12
1 0 4  42.93  11
1 3 1  45.87  10